[1]
Starting from the GGA+U geometry in the Materials Project, the PXRD pattern of VP2O7 was computed for CuKα.
Kinematic intensities with the Lorentz-polarization factor, no thermal factor.

Cell: 7.2683 8.0825 9.4472 Å, 90.00 110.47 90.00°
Atoms (fractional coordinates):
V1 0.2265 0.0105 0.2540
V2 0.2265 0.4895 0.7540
V3 0.7735 0.5105 0.2460
V4 0.7735 0.9895 0.7460
P1 0.1747 0.7030 0.4494
P2 0.1747 0.7970 0.9494
P3 0.4301 0.2405 0.5573
P4 0.4301 0.2595 0.0573
P5 0.5699 0.7405 0.9427
P6 0.5699 0.7595 0.4427
P7 0.8253 0.2030 0.0506
P8 0.8253 0.2970 0.5506
O1 0.0303 0.5859 0.3338
O2 0.0303 0.9141 0.8338
O3 0.1443 0.6168 0.8972
O4 0.1443 0.8832 0.3972
O5 0.1691 0.6783 0.6073
O6 0.1691 0.8217 0.1073
O7 0.3063 0.1919 0.3964
O8 0.3063 0.3081 0.8964
O9 0.3163 0.1422 0.1209
O10 0.3163 0.3578 0.6209
O11 0.3873 0.6492 0.4485
O12 0.3873 0.8508 0.9485
O13 0.4827 0.5889 0.8432
O14 0.4827 0.9111 0.3432
O15 0.5173 0.0889 0.6568
O16 0.5173 0.4111 0.1568
O17 0.6127 0.1492 0.0515
O18 0.6127 0.3508 0.5515
O19 0.6837 0.6422 0.3791
O20 0.6837 0.8578 0.8791
O21 0.6937 0.6919 0.1036
O22 0.6937 0.8081 0.6036
O23 0.8309 0.1783 0.8927
O24 0.8309 0.3217 0.3927
O25 0.8557 0.1168 0.6028
O26 0.8557 0.3832 0.1028
O27 0.9697 0.0859 0.1662
O28 0.9697 0.4141 0.6662

Principal peaks in the range 10 to 90 degrees two-theta, most intense first:
- 17.3°, rel. 100, hkl 1 1 -1
- 29.9°, rel. 56, hkl 0 2 2
- 22.0°, rel. 35, hkl 1 1 1
- 28.4°, rel. 33, hkl 2 1 0
- 22.9°, rel. 31, hkl 0 1 2
- 29.1°, rel. 20, hkl 2 1 -2
- 30.6°, rel. 16, hkl 1 1 -3
- 19.7°, rel. 15, hkl 1 0 -2
- 26.2°, rel. 8, hkl 2 0 0
- 29.8°, rel. 8, hkl 1 1 2
- 43.7°, rel. 7, hkl 3 2 -1
- 35.0°, rel. 7, hkl 2 2 -2

[2]
Starting from the GGA+U geometry in the Materials Project, the PXRD pattern of VP3O9 was computed for CuKα.
Kinematic intensities with the Lorentz-polarization factor, no thermal factor.

Cell: 9.4267 9.4312 9.6767 Å, 109.33 104.34 108.85°
Atoms (fractional coordinates):
V1 0.1003 0.3003 0.2101
V2 0.2552 0.7746 0.7244
V3 0.7448 0.2254 0.2756
V4 0.8997 0.6997 0.7899
P1 0.9999 0.3905 0.6497
P2 0.0001 0.6095 0.3503
P3 0.0619 0.7967 0.1678
P4 0.1883 0.0956 0.9217
P5 0.3028 0.4337 0.5950
P6 0.4273 0.6663 0.3035
P7 0.4843 0.8437 0.0995
P8 0.5157 0.1563 0.9005
P9 0.5727 0.3337 0.6965
P10 0.6972 0.5663 0.4050
P11 0.8117 0.9044 0.0783
P12 0.9381 0.2033 0.8322
O1 0.0092 0.6284 0.1968
O2 0.0351 0.7244 0.9925
O3 0.0366 0.5735 0.6860
O4 0.0964 0.1659 0.8216
O5 0.1228 0.9051 0.8150
O6 0.1457 0.7379 0.5008
O7 0.1549 0.3592 0.6450
O8 0.1770 0.1393 0.0811
O9 0.2168 0.9337 0.2904
O10 0.2492 0.3289 0.4188
O11 0.2679 0.5118 0.2441
O12 0.3529 0.6192 0.6519
O13 0.3582 0.8098 0.9476
O14 0.3706 0.1934 0.9440
O15 0.4068 0.6970 0.1423
O16 0.4364 0.4087 0.7045
O17 0.4389 0.9846 0.7638
O18 0.4850 0.8162 0.4507
O19 0.5150 0.1838 0.5493
O20 0.5611 0.0154 0.2362
O21 0.5636 0.5913 0.2955
O22 0.5932 0.3030 0.8577
O23 0.6294 0.8066 0.0560
O24 0.6418 0.1902 0.0524
O25 0.6471 0.3808 0.3481
O26 0.7321 0.4882 0.7559
O27 0.7508 0.6711 0.5812
O28 0.7832 0.0663 0.7096
O29 0.8230 0.8607 0.9189
O30 0.8451 0.6408 0.3550
O31 0.8543 0.2621 0.4992
O32 0.8772 0.0949 0.1850
O33 0.9036 0.8341 0.1784
O34 0.9634 0.4265 0.3140
O35 0.9649 0.2756 0.0075
O36 0.9908 0.3716 0.8032

Principal peaks in the range 10 to 90 degrees two-theta, most intense first:
- 31.2°, rel. 100, hkl -3 2 1
- 18.5°, rel. 90, hkl 0 1 1
- 11.4°, rel. 87, hkl 0 1 -1
- 25.2°, rel. 76, hkl 2 1 -1
- 30.4°, rel. 62, hkl 0 3 -1
- 21.2°, rel. 46, hkl 0 0 2
- 22.3°, rel. 44, hkl 0 2 0
- 28.7°, rel. 44, hkl 0 1 -3
- 23.6°, rel. 42, hkl 1 -1 2
- 32.8°, rel. 41, hkl 2 2 -2
- 20.4°, rel. 39, hkl -2 1 1
- 20.1°, rel. 37, hkl 1 1 -2